(1)
Theoretical powder diffractogram of Ni3Mo3N for Cu Kα (λ = 1.5418 Å), from a crystal structure in OQMD, relaxed with GGA-PBE.

Structural model:
```
28
Lattice="0.0000 5.5202 5.5202 5.5202 0.0000 5.5202 5.5202 5.5202 0.0000" Properties=species:S:1:pos:R:3 pbc="T T T"
Ni 0.0000 0.0000 0.0000
Ni 2.7601 2.7601 0.0000
Ni 2.7601 0.0000 2.7601
Ni 8.7229 5.0775 5.0775
Ni 2.3174 2.3174 2.3174
Ni 5.9628 5.9628 2.3174
Ni 5.9628 2.3174 5.9628
Ni 0.0000 2.7601 2.7601
Ni 5.0775 8.7229 5.0775
Ni 5.0775 5.0775 8.7229
Ni 8.7229 8.7229 8.7229
Ni 2.3174 5.9628 5.9628
Mo 4.1401 4.1401 1.8841
Mo 4.1401 1.8841 4.1401
Mo 6.3962 4.1401 4.1401
Mo 6.9002 6.9002 4.6442
Mo 6.9002 4.6442 6.9002
Mo 9.1562 6.9002 6.9002
Mo 1.8841 4.1401 4.1401
Mo 4.1401 6.3962 4.1401
Mo 4.1401 4.1401 6.3962
Mo 4.6442 6.9002 6.9002
Mo 6.9002 9.1562 6.9002
Mo 6.9002 6.9002 9.1562
N 5.5202 2.7601 2.7601
N 2.7601 5.5202 2.7601
N 2.7601 2.7601 5.5202
N 5.5202 5.5202 5.5202
```

Principal peaks in the range 2θ = 10–80°, sorted by position:
two_theta	Rel. int.
35.44	12
40.01	40
42.55	100
46.53	55
64.87	13
69.72	8
72.67	30
74.42	10

---

(2)
Theoretical powder diffractogram of Ta4Ni3Mo2N3 for Cu Kα (λ = 1.5418 Å), from a crystal structure in OQMD, relaxed with GGA-PBE.

Structural model:
```
24
Lattice="4.3691 -2.5117 0.0000 4.3691 2.5117 0.0000 -2.9083 0.0000 13.8049" Properties=species:S:1:pos:R:3 pbc="T T T"
Ta 0.7270 0.4207 1.3764
Ta 0.7335 0.4149 5.5253
Ta -0.7271 -0.4207 8.2789
Ta -0.7206 -0.4149 12.4278
Ta 6.5506 0.4149 1.3772
Ta 6.5570 0.4207 5.5260
Ta 5.0964 -0.4149 8.2797
Ta 5.1029 -0.4207 12.4285
Ni 2.1195 1.2820 3.4490
Ni 2.1879 1.3577 10.3537
Ni 5.1646 1.2820 3.4535
Ni 0.6653 -1.2820 10.3515
Ni 3.6420 -1.3577 3.4512
Ni 3.7105 -1.2820 10.3559
Mo 3.6434 0.4159 1.4339
Mo 3.6406 0.4159 5.4686
Mo 2.1893 -0.4159 8.3364
Mo 2.1865 -0.4159 12.3711
N 2.1845 1.2559 0.0000
N 2.1886 1.2512 6.9025
N 5.0954 1.2512 0.0000
N 0.7304 -1.2559 6.9025
N 3.6428 -1.2512 0.0000
N 3.6413 -1.2512 6.9025
```

Principal peaks in the range 2θ = 10–80°, sorted by position:
two_theta	Rel. int.
25.81	37
36.24	53
39.15	38
40.83	100
40.93	48
44.52	50
59.55	50
64.15	29

---

(3)
Theoretical powder diffractogram of Mo4PbSN2 for Cu Kα (λ = 1.5418 Å), from a crystal structure in OQMD, relaxed with GGA-PBE.

Structural model:
```
8
Lattice="3.3263 0.0000 0.0000 -1.6631 2.8806 0.0000 0.0000 0.0000 12.0518" Properties=species:S:1:pos:R:3 pbc="T T T"
Mo 0.0000 0.0000 1.6547
Mo 0.0000 0.0000 10.3971
Mo 1.6631 0.9602 3.6070
Mo 1.6631 0.9602 8.4449
Pb 0.0000 0.0000 6.0259
S 1.6631 0.9602 0.0000
N 0.0000 1.9204 2.9306
N 0.0000 1.9204 9.1213
```

Principal peaks in the range 2θ = 10–80°, sorted by position:
two_theta	Rel. int.
31.05	38
34.51	39
37.31	14
38.45	100
55.23	30
68.55	15
69.31	17
70.55	13

---

(4)
Theoretical powder diffractogram of SnMo4PbN2 for Cu Kα (λ = 1.5418 Å), from a crystal structure in OQMD, relaxed with GGA-PBE.

Structural model:
```
8
Lattice="3.2824 0.0000 0.0000 -1.6412 2.8426 0.0000 0.0000 0.0000 13.1658" Properties=species:S:1:pos:R:3 pbc="T T T"
Sn 0.0000 0.0000 0.0000
Mo 0.0000 0.0000 4.2125
Mo 0.0000 0.0000 8.9533
Mo 0.0000 1.8951 2.2421
Mo 0.0000 1.8951 10.9237
Pb 0.0000 1.8951 6.5829
N 1.6412 0.9475 3.2765
N 1.6412 0.9475 9.8892
```

Principal peaks in the range 2θ = 10–80°, sorted by position:
two_theta	Rel. int.
31.47	24
37.70	100
41.14	15
52.70	14
56.03	22
69.52	17
71.83	18
72.70	13

---

(5)
Theoretical powder diffractogram of Mo3Pd2N for Cu Kα (λ = 1.5418 Å), from a crystal structure in OQMD, relaxed with GGA-PBE.

Structural model:
```
24
Lattice="6.8655 0.0000 0.0000 0.0000 6.8655 0.0000 0.0000 0.0000 6.8655" Properties=species:S:1:pos:R:3 pbc="T T T"
Mo 0.3257 0.8582 5.4748
Mo 0.8582 5.4748 0.3257
Mo 1.3907 3.7584 2.5746
Mo 2.0421 3.1070 6.0073
Mo 2.5746 1.3907 3.7584
Mo 3.1070 6.0073 2.0421
Mo 3.7584 2.5746 1.3907
Mo 4.2909 4.8234 6.5398
Mo 4.8234 6.5398 4.2909
Mo 5.4748 0.3257 0.8582
Mo 6.0073 2.0421 3.1070
Mo 6.5398 4.2909 4.8234
Pd 0.4177 6.4478 3.0150
Pd 1.2987 1.2987 1.2987
Pd 2.1341 5.5668 4.7314
Pd 3.0150 0.4177 6.4478
Pd 3.8504 3.8504 3.8504
Pd 4.7314 2.1341 5.5668
Pd 5.5668 4.7314 2.1341
Pd 6.4478 3.0150 0.4177
N 0.8582 2.5746 4.2909
N 2.5746 4.2909 0.8582
N 4.2909 0.8582 2.5746
N 6.0073 6.0073 6.0073
```

Principal peaks in the range 2θ = 10–80°, sorted by position:
two_theta	Rel. int.
39.37	100
41.60	53
43.73	30
49.69	11
56.90	7
69.86	29
74.41	23
75.91	6

---

(6)
Theoretical powder diffractogram of Mo2SN for Cu Kα (λ = 1.5418 Å), from a crystal structure in OQMD, relaxed with GGA-PBE.

Structural model:
```
24
Lattice="4.9891 -2.8342 0.0000 4.9891 2.8342 0.0000 -2.9162 0.0000 10.9863" Properties=species:S:1:pos:R:3 pbc="T T T"
Mo 2.8484 2.2589 6.5596
Mo 2.7553 2.2589 9.9199
Mo 2.2714 0.4163 0.9514
Mo 2.6650 0.4166 4.5700
Mo 0.8133 -0.4163 6.4446
Mo 1.2069 -0.4166 10.0632
Mo 5.8550 0.4166 0.9231
Mo 6.2486 0.4163 4.5417
Mo 4.3969 -0.4166 6.4163
Mo 4.7905 -0.4163 10.0349
Mo 4.3065 -2.2589 1.0664
Mo 4.2135 -2.2589 4.4267
S -0.4750 0.4195 8.3558
S 0.9831 -0.4195 2.8626
S 2.8019 0.4242 8.2397
S 4.2600 -0.4242 2.7466
S 6.0787 0.4195 8.1237
S 7.5369 -0.4195 2.6305
N 1.0364 1.4171 5.4931
N 4.0694 1.3933 0.3804
N 4.4506 1.3933 5.1128
N 2.4945 -1.4171 0.0000
N 2.6113 -1.3933 5.8735
N 2.9925 -1.3933 10.6059
```

Principal peaks in the range 2θ = 10–80°, sorted by position:
two_theta	Rel. int.
16.14	56
31.19	48
32.56	39
39.28	100
40.24	97
40.58	93
49.80	31
55.98	49

---

(7)
Theoretical powder diffractogram of Ta4Mo2S3N3 for Cu Kα (λ = 1.5418 Å), from a crystal structure in OQMD, relaxed with GGA-PBE.

Structural model:
```
24
Lattice="4.9812 -2.7986 0.0000 4.9812 2.7986 0.0000 -3.1565 0.0000 11.5386" Properties=species:S:1:pos:R:3 pbc="T T T"
Ta 0.9780 2.0810 10.4010
Ta 1.1516 0.3647 4.6735
Ta 4.2497 2.0810 6.9069
Ta -0.4266 -0.3647 10.4429
Ta 7.2325 0.3647 1.0958
Ta 2.5562 -2.0810 4.6317
Ta 5.6543 -0.3647 6.8651
Ta 5.8279 -2.0810 1.1376
Mo 4.3630 0.3352 1.1494
Mo 4.0210 0.3352 4.6199
Mo 2.7848 -0.3352 6.9187
Mo 2.4428 -0.3352 10.3893
S 4.1920 2.3360 2.8847
S 0.9562 0.4601 8.4832
S 2.5344 -0.4601 2.7139
S 4.2715 0.4601 8.8247
S 5.8497 -0.4601 3.0554
S 2.6138 -2.3360 8.6540
N 2.4906 1.3993 0.0000
N 2.5333 1.5390 5.7915
N 2.6943 1.5390 11.5164
N 0.9123 -1.3993 5.7693
N 4.1115 -1.5390 0.0222
N 4.2725 -1.5390 5.7471
```

Principal peaks in the range 2θ = 10–80°, sorted by position:
two_theta	Rel. int.
15.36	48
31.00	46
31.32	60
32.39	40
39.05	100
39.53	85
39.84	96
56.58	37